TmPuO5: computed powder diffractogram (Cu Kα, 1.54184 Å), based on a DFT-relaxed cell (GGA-PBE, Alexandria).
Intensities are scaled so that the largest is 100.

Crystal structure
Cell: 9.153 6.445 8.033 Å, 90.00 116.13 90.00°
Space group C2/c (No. 15)
Inequivalent atoms, fractional coordinates:
Tm  0.000  0.042  0.250
Pu  0.000  0.500  0.000
O  0.000  0.386  0.250
O  0.008  0.197  0.960
O  0.231  0.486  0.619

Largest 6 diffraction maxima, most intense first, 10° ≤ 2θ ≤ 90°:
- hkl 1 1 -2, 26.14°, I 100.0
- hkl 2 0 0, 21.63°, I 84.1
- hkl 3 1 -2, 34.18°, I 71.5
- hkl 0 2 0, 27.68°, I 39.3
- hkl 5 1 -2, 51.97°, I 30.6
- hkl 2 2 0, 35.40°, I 28.9